Entry 1:
Calculated powder XRD pattern of K5Ta3 for Cu Kα, from a cell relaxed with GGA-PBE.
Peak positions follow from Bragg's law for the DFT cell and can differ from measured ones.

Structure:
abc: 11.535 13.066 4.641
angles: 90.00 90.00 90.00
Space group Cmmm (No. 65)
Unique sites:
K  0.000  0.000  0.000 x2
K  0.000  0.250  0.500 x4
K  0.250  0.250  0.000 x4
Ta  0.000  0.500  0.000 x2
Ta  0.111  0.500  0.500 x4

The 8 most intense peaks (2θ = 15–90°), sorted by position:
hkl 2 2 0, 2θ = 20.54°, I = 45; hkl 1 3 0, 2θ = 21.80°, I = 100; hkl 0 4 0, 2θ = 27.30°, I = 78; hkl 2 2 1, 2θ = 28.21°, I = 55; hkl 4 0 1, 2θ = 36.70°, I = 66; hkl 4 2 1, 2θ = 39.28°, I = 66; hkl 5 1 1, 2θ = 44.37°, I = 47; hkl 4 4 1, 2θ = 46.33°, I = 55

Entry 2:
Calculated powder XRD pattern of Cs3CdHg2Cl9 for Cu Kα, from a cell relaxed with GGA-PBE.
Peak positions follow from Bragg's law for the DFT cell and can differ from measured ones.

Structure:
abc: 7.6025 7.6025 9.3093
angles: 90.00 90.00 120.00
Space group P-3m1 (No. 164)
Unique sites:
Cs  0.0000  0.0000  0.0000 x1
Cs  0.3333  0.6667  0.6663 x2
Cd  0.0000  0.0000  0.5000 x1
Hg  0.3333  0.6667  0.1684 x2
Cl  0.0000  0.5000  0.0000 x3
Cl  0.1652  0.3304  0.3357 x6

The 8 most intense peaks (2θ = 15–90°), sorted by position:
hkl 1 1 0, 2θ = 23.40°, I = 100; hkl 2 0 2, 2θ = 33.34°, I = 49; hkl 3 0 0, 2θ = 41.13°, I = 47; hkl 2 2 0, 2θ = 47.86°, I = 34; hkl 3 1 2, 2θ = 53.94°, I = 22; hkl 4 1 0, 2θ = 64.91°, I = 25; hkl 3 3 0, 2θ = 74.96°, I = 13; hkl 4 2 2, 2θ = 79.79°, I = 15

Entry 3:
Calculated powder XRD pattern of BaU4Co3S12 for Cu Kα, from a cell relaxed with GGA-PBE.
Peak positions follow from Bragg's law for the DFT cell and can differ from measured ones.

Structure:
abc: 9.617 9.617 9.617
angles: 90.00 90.00 90.00
Space group Im-3 (No. 204)
Unique sites:
Ba  0.000  0.000  0.000 x2
U  0.250  0.250  0.250 x8
Co  0.000  0.000  0.500 x6
S  0.000  0.157  0.327 x24

The 8 most intense peaks (2θ = 15–90°), sorted by position:
hkl 2 0 0, 2θ = 18.45°, I = 29; hkl 2 2 0, 2θ = 26.21°, I = 100; hkl 4 0 0, 2θ = 37.40°, I = 24; hkl 4 0 2, 2θ = 42.02°, I = 22; hkl 4 2 2, 2θ = 46.25°, I = 61; hkl 6 2 0, 2θ = 60.93°, I = 23; hkl 6 4 2, 2θ = 73.72°, I = 24; hkl 6 6 0, 2θ = 85.72°, I = 18